Structure and simulated XRD peak list of Rb2PaTe2S6 (a crystal structure in Alexandria, relaxed with GGA-PBE; a wavelength of 1.5418 Å).
No peak broadening, texture or thermal motion is included.

a = 14.9554 Å, b = 7.2208 Å, c = 8.2042 Å
α = 90.00°, β = 121.72°, γ = 90.00°
Space group C2/m (No. 12)
Symmetry-distinct sites (fractional):
Rb 0.2281 0.0000 0.2173
Pa 0.0000 0.0000 0.5000
Te 0.0414 0.5000 0.2480
S 0.0770 0.2541 0.7983
S 0.1856 0.0000 0.5819

Largest 6 diffraction maxima, sorted by position, 10 to 80 degrees two-theta:
hkl 2 0 0, 2θ = 13.92°, I 51; hkl 1 1 1, 2θ = 21.35°, I 43; hkl 3 1 -1, 2θ = 21.73°, I 100; hkl 0 2 0, 2θ = 24.66°, I 49; hkl 1 1 -2, 2θ = 25.79°, I 89; hkl 3 1 -2, 2θ = 26.12°, I 34